# CoNi2MoO6
Simulated X-ray powder pattern, Cu Kα. Input: DFT lattice parameters and positions (GGA+U).
Intensities are scaled so that the largest is 100.

Structural model:
Cell: 5.3874 5.3874 4.8427 Å, 90.00 90.00 90.00°
Space group P4mm (No. 99)
One atom of each set of equivalent atoms:
Co  0.0000  0.0000  0.0000 x1
Ni  0.0000  0.5000  0.2951 x2
Mo  0.5000  0.5000  0.0148 x1
O  0.0000  0.0000  0.6508 x1
O  0.2529  0.2529  0.1652 x4
O  0.5000  0.5000  0.6577 x1

Top 10 peaks for 10° ≤ 2θ ≤ 90°, in order of rising 2θ:
- 2θ = 18.3°, rel. 77
- 2θ = 29.8°, rel. 100
- 2θ = 33.3°, rel. 47
- 2θ = 44.3°, rel. 50
- 2θ = 47.7°, rel. 36
- 2θ = 51.6°, rel. 17
- 2θ = 57.3°, rel. 29
- 2θ = 67.2°, rel. 27
- 2θ = 67.7°, rel. 19
- 2θ = 69.8°, rel. 10